This entry pairs a crystal structure of Bi2TePd8 with its computed XRD peak list. Radiation: a wavelength of 1.5418 Å. Structure: a cell relaxed with PBE.

abc: 7.9151 7.9151 6.0071
angles: 101.34 101.34 32.75
Element x y z (fractional)
Bi (0.2038, 0.2038, 0.1693)
Bi (0.7962, 0.7962, 0.8308)
Te (0.5000, 0.5000, 0.5000)
Pd (0.0277, 0.0277, 0.2475)
Pd (0.1576, 0.1576, 0.6990)
Pd (0.3349, 0.3349, 0.5850)
Pd (0.4139, 0.4139, 0.0624)
Pd (0.5861, 0.5861, 0.9376)
Pd (0.6651, 0.6651, 0.4150)
Pd (0.8424, 0.8424, 0.3010)
Pd (0.9723, 0.9723, 0.7525)

Peak list (10 most intense, 2θ = 15–90°, by angle)
- d = 2.475 Å, 36.29°, I = 285
- d = 2.434 Å, 36.93°, I = 730
- d = 2.358 Å, 38.16°, I = 1000
- d = 2.231 Å, 40.42°, I = 448
- d = 2.132 Å, 42.39°, I = 263
- d = 2.075 Å, 43.61°, I = 138
- d = 1.902 Å, 47.83°, I = 147
- d = 1.542 Å, 60.01°, I = 187
- d = 1.447 Å, 64.36°, I = 119
- d = 1.311 Å, 72.01°, I = 154


This entry pairs a crystal structure of Sm2SnHPt6 with its computed XRD peak list. Radiation: a wavelength of 1.5418 Å. Structure: a cell relaxed with PBE.

abc: 5.7590 5.7590 7.1813
angles: 113.75 113.75 59.98
Element x y z (fractional)
Sm (0.0000, 0.0000, 0.0000)
Sm (0.5440, 0.5440, 0.6283)
Sn (0.2598, 0.2598, 0.7773)
H (0.8583, 0.8583, 0.5709)
Pt (0.0231, 0.5343, 0.0917)
Pt (0.4822, 0.9865, 0.4512)
Pt (0.5343, 0.0231, 0.0917)
Pt (0.5349, 0.5349, 0.0932)
Pt (0.9862, 0.9862, 0.4493)
Pt (0.9865, 0.4822, 0.4512)

Peak list (10 most intense, 2θ = 15–90°, by angle)
- d = 4.419 Å, 20.09°, I = 140
- d = 3.179 Å, 28.07°, I = 274
- d = 2.623 Å, 34.19°, I = 256
- d = 2.412 Å, 37.27°, I = 1000
- d = 2.391 Å, 37.62°, I = 281
- d = 2.210 Å, 40.84°, I = 850
- d = 2.119 Å, 42.66°, I = 163
- d = 2.087 Å, 43.35°, I = 224
- d = 1.840 Å, 49.55°, I = 135
- d = 1.440 Å, 64.76°, I = 314


This entry pairs a crystal structure of TbNd6Sm3 with its computed XRD peak list. Radiation: a wavelength of 1.5418 Å. Structure: a cell relaxed with PBE.

abc: 11.1495 11.1495 6.4906
angles: 90.00 90.00 120.72
Element x y z (fractional)
Tb (0.1922, 0.8078, 0.5000)
Tb (0.8078, 0.1922, 0.0000)
Nd (0.0347, 0.9653, 0.7493)
Nd (0.0581, 0.4748, 0.2428)
Nd (0.2787, 0.7213, 0.9620)
Nd (0.2892, 0.3712, 0.0567)
Nd (0.3712, 0.2892, 0.5567)
Nd (0.4748, 0.0581, 0.7428)
Nd (0.5252, 0.9419, 0.2428)
Nd (0.6288, 0.7108, 0.0567)
Nd (0.7108, 0.6288, 0.5567)
Nd (0.7213, 0.2787, 0.4620)
Nd (0.9419, 0.5252, 0.7428)
Nd (0.9653, 0.0347, 0.2493)
Sm (0.0570, 0.2909, 0.6506)
Sm (0.2909, 0.0570, 0.1506)
Sm (0.3839, 0.6161, 0.5287)
Sm (0.6161, 0.3839, 0.0287)
Sm (0.7091, 0.9430, 0.6506)
Sm (0.9430, 0.7091, 0.1506)

Peak list (10 most intense, 2θ = 15–90°, by angle)
- d = 3.191 Å, 27.96°, I = 408
- d = 3.175 Å, 28.11°, I = 529
- d = 3.156 Å, 28.28°, I = 420
- d = 3.075 Å, 29.04°, I = 270
- d = 2.892 Å, 30.92°, I = 1000
- d = 2.867 Å, 31.20°, I = 492
- d = 2.799 Å, 31.98°, I = 319
- d = 2.687 Å, 33.34°, I = 622
- d = 2.667 Å, 33.60°, I = 271
- d = 1.614 Å, 57.07°, I = 205


This entry pairs a crystal structure of SmMg4Sn2 with its computed XRD peak list. Radiation: a wavelength of 1.5418 Å. Structure: a cell relaxed with PBE.

abc: 8.6866 8.6866 4.6022
angles: 90.00 90.00 90.00
Element x y z (fractional)
Sm (0.0000, 0.0000, 0.0000)
Sm (0.5000, 0.5000, 0.5000)
Mg (0.0984, 0.3530, 0.5000)
Mg (0.1470, 0.5984, 0.0000)
Mg (0.3530, 0.0984, 0.5000)
Mg (0.4016, 0.8530, 0.0000)
Mg (0.5984, 0.1470, 0.0000)
Mg (0.6470, 0.9016, 0.5000)
Mg (0.8530, 0.4016, 0.0000)
Mg (0.9016, 0.6470, 0.5000)
Sn (0.1991, 0.8009, 0.5000)
Sn (0.3009, 0.3009, 0.0000)
Sn (0.6991, 0.6991, 0.0000)
Sn (0.8009, 0.1991, 0.5000)

Peak list (10 most intense, 2θ = 15–90°, by angle)
- d = 3.885 Å, 22.89°, I = 293
- d = 3.683 Å, 24.16°, I = 458
- d = 3.071 Å, 29.08°, I = 443
- d = 2.969 Å, 30.10°, I = 1000
- d = 2.451 Å, 36.67°, I = 545
- d = 2.359 Å, 38.15°, I = 329
- d = 2.301 Å, 39.15°, I = 281
- d = 2.107 Å, 42.93°, I = 244
- d = 1.842 Å, 49.50°, I = 208
- d = 1.522 Å, 60.85°, I = 279


This entry pairs a crystal structure of Sm2Dy5Y4 with its computed XRD peak list. Radiation: a wavelength of 1.5418 Å. Structure: a cell relaxed with PBE.

abc: 12.6212 12.6212 12.6212
angles: 164.00 137.97 45.24
Element x y z (fractional)
Sm (0.2325, 0.2325, 0.0000)
Sm (0.7675, 0.7675, 0.0000)
Dy (0.1608, 0.3565, 0.8043)
Dy (0.4478, 0.6435, 0.8043)
Dy (0.5000, 0.0000, 0.5000)
Dy (0.5522, 0.3565, 0.1957)
Dy (0.8392, 0.6435, 0.1957)
Y (0.0982, 0.0982, 0.0000)
Y (0.1909, 0.5000, 0.6909)
Y (0.8091, 0.5000, 0.3091)
Y (0.9018, 0.9018, 0.0000)

Peak list (10 most intense, 2θ = 15–90°, by angle)
- d = 3.574 Å, 24.91°, I = 569
- d = 3.152 Å, 28.31°, I = 600
- d = 3.124 Å, 28.57°, I = 391
- d = 2.947 Å, 30.33°, I = 458
- d = 2.913 Å, 30.70°, I = 432
- d = 2.813 Å, 31.82°, I = 810
- d = 2.755 Å, 32.50°, I = 1000
- d = 2.416 Å, 37.22°, I = 498
- d = 2.131 Å, 42.42°, I = 508
- d = 1.972 Å, 46.03°, I = 340


This entry pairs a crystal structure of LaPrBr5 with its computed XRD peak list. Radiation: a wavelength of 1.5418 Å. Structure: a cell relaxed with PBE.

abc: 8.0468 4.2394 13.7079
angles: 90.00 90.02 90.00
Element x y z (fractional)
La (0.0718, 0.2500, 0.1621)
La (0.9282, 0.7500, 0.8379)
Pr (0.4235, 0.7500, 0.3431)
Pr (0.5765, 0.2500, 0.6569)
Br (0.0480, 0.7500, 0.3221)
Br (0.1494, 0.2500, 0.9318)
Br (0.3122, 0.2500, 0.4877)
Br (0.3396, 0.7500, 0.7253)
Br (0.3414, 0.7500, 0.1263)
Br (0.6586, 0.2500, 0.8737)
Br (0.6604, 0.2500, 0.2747)
Br (0.6878, 0.7500, 0.5123)
Br (0.8506, 0.7500, 0.0682)
Br (0.9520, 0.2500, 0.6779)

Peak list (10 most intense, 2θ = 15–90°, by angle)
- d = 3.612 Å, 24.65°, I = 411
- d = 3.290 Å, 27.10°, I = 748
- d = 3.019 Å, 29.59°, I = 423
- d = 2.918 Å, 30.63°, I = 694
- d = 2.899 Å, 30.84°, I = 435
- d = 2.685 Å, 33.37°, I = 1000
- d = 2.665 Å, 33.63°, I = 543
- d = 2.213 Å, 40.77°, I = 497
- d = 2.120 Å, 42.65°, I = 547
- d = 2.030 Å, 44.65°, I = 471


This entry pairs a crystal structure of Na8B13C3 with its computed XRD peak list. Radiation: a wavelength of 1.5418 Å. Structure: a cell relaxed with PBE.

abc: 5.6992 5.9579 9.1769
angles: 100.20 98.97 118.31
Element x y z (fractional)
Na (0.0000, 0.0000, 0.0000)
Na (0.9998, 0.4997, 0.0007)
Na (0.2491, 0.7490, 0.5005)
Na (0.2520, 0.2537, 0.5015)
Na (0.4986, 0.9990, 0.9986)
Na (0.5005, 0.5018, 0.0013)
Na (0.7486, 0.7486, 0.4994)
Na (0.7512, 0.2517, 0.5018)
B (0.0546, 0.2247, 0.7510)
B (0.1913, 0.0133, 0.7504)
B (0.1995, 0.5497, 0.7491)
B (0.2850, 0.4457, 0.2504)
B (0.3094, 0.9912, 0.2502)
B (0.4496, 0.7769, 0.2502)
B (0.5368, 0.7042, 0.7494)
B (0.5434, 0.2225, 0.7516)
B (0.7061, 0.0288, 0.7523)
B (0.7281, 0.5542, 0.7495)
B (0.7853, 0.4457, 0.2506)
B (0.8090, 0.9916, 0.2507)
B (0.9500, 0.7772, 0.2505)
C (0.0437, 0.7110, 0.7491)
C (0.4567, 0.2889, 0.2504)
C (0.9566, 0.2890, 0.2508)

Peak list (10 most intense, 2θ = 15–90°, by angle)
- d = 2.623 Å, 34.19°, I = 142
- d = 2.509 Å, 35.79°, I = 98
- d = 2.499 Å, 35.93°, I = 96
- d = 2.245 Å, 40.18°, I = 564
- d = 2.171 Å, 41.60°, I = 1000
- d = 2.166 Å, 41.71°, I = 568
- d = 1.493 Å, 62.16°, I = 103
- d = 1.487 Å, 62.44°, I = 102
- d = 1.230 Å, 77.62°, I = 99
- d = 1.227 Å, 77.87°, I = 98


This entry pairs a crystal structure of NaCd5Pb5 with its computed XRD peak list. Radiation: a wavelength of 1.5418 Å. Structure: a cell relaxed with PBE.

abc: 5.6774 5.6774 11.1457
angles: 90.00 90.00 120.00
Element x y z (fractional)
Na (0.0000, 0.0000, 0.0000)
Cd (0.0051, 0.5025, 0.5000)
Cd (0.4975, 0.5025, 0.5000)
Cd (0.4975, 0.9949, 0.5000)
Cd (0.6667, 0.3333, 0.2663)
Cd (0.6667, 0.3333, 0.7337)
Pb (0.0000, 0.0000, 0.3197)
Pb (0.0000, 0.0000, 0.6803)
Pb (0.3333, 0.6667, 0.1586)
Pb (0.3333, 0.6667, 0.8414)
Pb (0.6667, 0.3333, 0.0000)

Peak list (10 most intense, 2θ = 15–90°, by angle)
- d = 4.498 Å, 19.74°, I = 210
- d = 3.687 Å, 24.14°, I = 193
- d = 2.964 Å, 30.15°, I = 1000
- d = 2.839 Å, 31.52°, I = 845
- d = 2.529 Å, 35.49°, I = 267
- d = 2.424 Å, 37.09°, I = 326
- d = 2.401 Å, 37.46°, I = 383
- d = 2.050 Å, 44.18°, I = 185
- d = 1.662 Å, 55.27°, I = 360
- d = 1.419 Å, 65.80°, I = 199


This entry pairs a crystal structure of CsKH2 with its computed XRD peak list. Radiation: a wavelength of 1.5418 Å. Structure: a cell relaxed with PBE.

abc: 7.2864 7.2864 7.2864
angles: 90.00 90.00 90.00
Element x y z (fractional)
Cs (0.0000, 0.0000, 0.0000)
Cs (0.0000, 0.5000, 0.5000)
Cs (0.5000, 0.0000, 0.5000)
Cs (0.5000, 0.5000, 0.0000)
K (0.0000, 0.0000, 0.5000)
K (0.0000, 0.5000, 0.0000)
K (0.5000, 0.0000, 0.0000)
K (0.5000, 0.5000, 0.5000)
H (0.2500, 0.2500, 0.2500)
H (0.2500, 0.2500, 0.7500)
H (0.2500, 0.7500, 0.2500)
H (0.2500, 0.7500, 0.7500)
H (0.7500, 0.2500, 0.2500)
H (0.7500, 0.2500, 0.7500)
H (0.7500, 0.7500, 0.2500)
H (0.7500, 0.7500, 0.7500)

Peak list (10 most intense, 2θ = 15–90°, by angle)
- d = 4.207 Å, 21.12°, I = 512
- d = 3.643 Å, 24.43°, I = 1000
- d = 2.576 Å, 34.83°, I = 838
- d = 2.197 Å, 41.09°, I = 283
- d = 2.103 Å, 43.00°, I = 284
- d = 1.822 Å, 50.07°, I = 142
- d = 1.672 Å, 54.93°, I = 126
- d = 1.629 Å, 56.48°, I = 375
- d = 1.487 Å, 62.44°, I = 286
- d = 1.214 Å, 78.81°, I = 177


This entry pairs a crystal structure of ScPd5Pb with its computed XRD peak list. Radiation: a wavelength of 1.5418 Å. Structure: a cell relaxed with PBE.

abc: 4.0361 4.0361 7.7935
angles: 90.00 90.00 90.00
Element x y z (fractional)
Sc (0.0000, 0.0000, 0.0000)
Pd (0.0000, 0.5000, 0.2532)
Pd (0.0000, 0.5000, 0.7468)
Pd (0.5000, 0.0000, 0.2532)
Pd (0.5000, 0.0000, 0.7468)
Pd (0.5000, 0.5000, 0.0000)
Pb (0.5000, 0.5000, 0.5000)

Peak list (10 most intense, 2θ = 15–90°, by angle)
- d = 4.036 Å, 22.02°, I = 248
- d = 2.803 Å, 31.92°, I = 199
- d = 2.302 Å, 39.12°, I = 1000
- d = 2.018 Å, 44.92°, I = 337
- d = 1.948 Å, 46.62°, I = 150
- d = 1.427 Å, 65.40°, I = 108
- d = 1.402 Å, 66.73°, I = 203
- d = 1.213 Å, 78.93°, I = 252
- d = 1.182 Å, 81.40°, I = 116
- d = 1.151 Å, 84.08°, I = 108


This entry pairs a crystal structure of TmZnCu5 with its computed XRD peak list. Radiation: a wavelength of 1.5418 Å. Structure: a cell relaxed with PBE.

abc: 8.0267 4.9993 10.1324
angles: 90.00 90.00 90.00
Element x y z (fractional)
Tm (0.2434, 0.2500, 0.0634)
Tm (0.2566, 0.7500, 0.5634)
Tm (0.7434, 0.2500, 0.4366)
Tm (0.7566, 0.7500, 0.9366)
Zn (0.1413, 0.7500, 0.8580)
Zn (0.3587, 0.2500, 0.3580)
Zn (0.6413, 0.7500, 0.6420)
Zn (0.8587, 0.2500, 0.1420)
Cu (0.0608, 0.7500, 0.0940)
Cu (0.0659, 0.0065, 0.3089)
Cu (0.0659, 0.4935, 0.3089)
Cu (0.0960, 0.2500, 0.5171)
Cu (0.1844, 0.2500, 0.7532)
Cu (0.3156, 0.7500, 0.2532)
Cu (0.4040, 0.7500, 0.0171)
Cu (0.4341, 0.5065, 0.8089)
Cu (0.4341, 0.9935, 0.8089)
Cu (0.4392, 0.2500, 0.5940)
Cu (0.5608, 0.7500, 0.4060)
Cu (0.5659, 0.0065, 0.1911)
Cu (0.5659, 0.4935, 0.1911)
Cu (0.5960, 0.2500, 0.9829)
Cu (0.6844, 0.2500, 0.7468)
Cu (0.8156, 0.7500, 0.2468)
Cu (0.9040, 0.7500, 0.4829)
Cu (0.9341, 0.5065, 0.6911)
Cu (0.9341, 0.9935, 0.6911)
Cu (0.9392, 0.2500, 0.9060)

Peak list (10 most intense, 2θ = 15–90°, by angle)
- d = 2.799 Å, 31.98°, I = 148
- d = 2.500 Å, 35.93°, I = 192
- d = 2.416 Å, 37.22°, I = 297
- d = 2.297 Å, 39.23°, I = 1000
- d = 2.242 Å, 40.23°, I = 153
- d = 2.122 Å, 42.61°, I = 152
- d = 2.077 Å, 43.58°, I = 141
- d = 1.969 Å, 46.11°, I = 280
- d = 1.949 Å, 46.60°, I = 181
- d = 1.400 Å, 66.80°, I = 225


This entry pairs a crystal structure of K2PuAgI6 with its computed XRD peak list. Radiation: a wavelength of 1.5418 Å. Structure: a cell relaxed with PBE.

abc: 8.1292 8.6790 14.2058
angles: 90.00 124.28 90.00
Element x y z (fractional)
K (0.2140, 0.0876, 0.2464)
K (0.2140, 0.4124, 0.7464)
K (0.7860, 0.5876, 0.2536)
K (0.7860, 0.9124, 0.7536)
Pu (0.5000, 0.0000, 0.0000)
Pu (0.5000, 0.5000, 0.5000)
Ag (0.0000, 0.0000, 0.5000)
Ag (0.0000, 0.5000, 0.0000)
I (0.1360, 0.1953, 0.9456)
I (0.1360, 0.3047, 0.4456)
I (0.2621, 0.6951, 0.9494)
I (0.2621, 0.8049, 0.4494)
I (0.3535, 0.0234, 0.7460)
I (0.3535, 0.4766, 0.2460)
I (0.6465, 0.5234, 0.7540)
I (0.6465, 0.9766, 0.2540)
I (0.7379, 0.1951, 0.5506)
I (0.7379, 0.3049, 0.0506)
I (0.8640, 0.6953, 0.5544)
I (0.8640, 0.8047, 0.0544)

Peak list (10 most intense, 2θ = 15–90°, by angle)
- d = 5.869 Å, 15.10°, I = 663
- d = 3.643 Å, 24.43°, I = 423
- d = 3.516 Å, 25.33°, I = 1000
- d = 2.966 Å, 30.13°, I = 792
- d = 2.934 Å, 30.46°, I = 490
- d = 2.726 Å, 32.86°, I = 595
- d = 2.656 Å, 33.75°, I = 340
- d = 2.641 Å, 33.95°, I = 351
- d = 2.376 Å, 37.87°, I = 347
- d = 2.358 Å, 38.17°, I = 368